LiVPO5: computed powder diffractogram (Cu Kα X-rays), based on a GGA+U-relaxed structure.
Neutral-atom scattering factors, no anomalous dispersion.

Structural model:
abc: 5.114 5.969 8.013
angles: 68.24 79.86 89.81
Positions (direct):
Li: 0.000 0.000 0.000
Li: 0.109 0.274 0.449
V: 0.551 0.919 0.727
V: 0.552 0.380 0.720
P: 0.330 0.496 0.006
P: 0.773 0.781 0.443
O: 0.230 0.312 0.930
O: 0.231 0.760 0.911
O: 0.296 0.414 0.208
O: 0.382 0.170 0.618
O: 0.472 0.728 0.558
O: 0.630 0.559 0.887
O: 0.718 0.055 0.836
O: 0.814 0.894 0.241
O: 0.871 0.949 0.539
O: 0.874 0.519 0.523

Top 8 peaks for 10 to 80 degrees two-theta, sorted by position:
Position (°2θ), d_spacing, I/Imax
12.11, 7.309, 100
17.66, 5.022, 40
19.47, 4.559, 99
23.07, 3.856, 30
23.57, 3.774, 21
32.40, 2.763, 18
40.11, 2.248, 13
40.99, 2.202, 32

BaVInWO6: computed powder diffractogram (Cu Kα X-rays), based on a GGA+U-relaxed structure.
Neutral-atom scattering factors, no anomalous dispersion.

Structural model:
abc: 5.758 5.758 5.758
angles: 60.00 60.00 60.00
Positions (direct):
Ba: 0.000 0.000 0.000
V: 0.750 0.750 0.750
In: 0.500 0.500 0.500
W: 0.250 0.250 0.250
O: 0.008 0.008 0.492
O: 0.008 0.492 0.008
O: 0.008 0.492 0.492
O: 0.492 0.008 0.008
O: 0.492 0.008 0.492
O: 0.492 0.492 0.008

Top 8 peaks for 10 to 80 degrees two-theta, sorted by position:
Position (°2θ), d_spacing, I/Imax
18.88, 4.701, 20
31.07, 2.879, 100
36.60, 2.455, 11
44.51, 2.036, 30
48.75, 1.868, 5
55.27, 1.662, 39
64.77, 1.439, 18
73.57, 1.287, 17

CaFe2As2O10: computed powder diffractogram (Cu Kα X-rays), based on a GGA+U-relaxed structure.
Neutral-atom scattering factors, no anomalous dispersion.

Structural model:
abc: 5.390 5.390 7.773
angles: 109.72 109.72 68.73
Positions (direct):
Ca: 0.000 0.000 0.000
Fe: 0.000 0.500 0.500
Fe: 0.500 0.000 0.500
As: 0.422 0.422 0.212
As: 0.578 0.578 0.788
O: 0.161 0.161 0.563
O: 0.223 0.684 0.746
O: 0.268 0.268 0.997
O: 0.316 0.777 0.254
O: 0.330 0.330 0.375
O: 0.670 0.670 0.625
O: 0.684 0.223 0.746
O: 0.732 0.732 0.003
O: 0.777 0.316 0.254
O: 0.839 0.839 0.437

Top 8 peaks for 10 to 80 degrees two-theta, sorted by position:
Position (°2θ), d_spacing, I/Imax
18.22, 4.869, 69
25.72, 3.463, 98
27.24, 3.274, 100
29.48, 3.030, 84
32.01, 2.796, 50
33.63, 2.665, 54
35.94, 2.499, 72
55.04, 1.669, 55

Li2VP2O7: computed powder diffractogram (Cu Kα X-rays), based on a GGA+U-relaxed structure.
Neutral-atom scattering factors, no anomalous dispersion.

Structural model:
abc: 5.059 8.169 9.020
angles: 113.21 90.05 108.02
Positions (direct):
Li: 0.048 0.382 0.054
Li: 0.334 0.382 0.554
Li: 0.666 0.618 0.446
Li: 0.952 0.618 0.946
V: 0.000 0.000 0.000
V: 0.000 0.000 0.500
P: 0.263 0.793 0.684
P: 0.471 0.208 0.816
P: 0.529 0.792 0.184
P: 0.737 0.207 0.316
O: 0.055 0.796 0.560
O: 0.124 0.781 0.833
O: 0.242 0.647 0.110
O: 0.260 0.205 0.940
O: 0.343 0.219 0.667
O: 0.405 0.647 0.610
O: 0.484 0.000 0.250
O: 0.516 0.000 0.750
O: 0.595 0.353 0.390
O: 0.657 0.781 0.333
O: 0.740 0.795 0.060
O: 0.758 0.353 0.890
O: 0.876 0.219 0.167
O: 0.945 0.204 0.440

Top 8 peaks for 10 to 80 degrees two-theta, sorted by position:
Position (°2θ), d_spacing, I/Imax
12.52, 7.068, 80
20.20, 4.395, 35
22.86, 3.890, 29
25.84, 3.448, 22
26.62, 3.349, 100
28.30, 3.153, 18
33.93, 2.642, 14
44.01, 2.057, 16